Record 1
The following is a calculated powder diffraction line list of Tb4ErS6. It was derived from a crystal structure in Alexandria, relaxed with PBE, using Cu Kα (weighted mean of Kα1 and Kα2).
Kinematic intensities with the Lorentz-polarization factor, no thermal factor.

Atomic structure:
```
Tb4ErS6
1.0
1.9123 -6.4620 0.0000
1.9123 6.4620 0.0000
0.0000 0.0000 19.8791
Tb Er S
8 2 12
Direct
0.0909 0.9091 0.6285 Tb
0.0909 0.9091 0.8715 Tb
0.3608 0.6392 0.5401 Tb
0.3608 0.6392 0.9599 Tb
0.6392 0.3608 0.0401 Tb
0.6392 0.3608 0.4599 Tb
0.9091 0.0909 0.1285 Tb
0.9091 0.0909 0.3715 Tb
0.1516 0.8484 0.2500 Er
0.8484 0.1516 0.7500 Er
0.0000 0.0000 0.0000 S
0.0000 0.0000 0.5000 S
0.1971 0.8029 0.7500 S
0.2702 0.7298 0.0893 S
0.2702 0.7298 0.4107 S
0.4474 0.5526 0.6685 S
0.4474 0.5526 0.8315 S
0.5526 0.4474 0.1685 S
0.5526 0.4474 0.3315 S
0.7298 0.2702 0.5893 S
0.7298 0.2702 0.9107 S
0.8029 0.1971 0.2500 S
```

Largest 8 diffraction maxima, low angle first, 2θ = 10–90°:
two_theta  I_rel
25.9  295
26.3  1000
27.6  309
27.8  451
32.6  747
34.1  519
44.0  368
55.2  292

---

Record 2
The following is a calculated powder diffraction line list of TbEr4S5. It was derived from a crystal structure in Alexandria, relaxed with PBE, using Cu Kα (weighted mean of Kα1 and Kα2).
Kinematic intensities with the Lorentz-polarization factor, no thermal factor.

Atomic structure:
```
TbEr4S5
1.0
-1.9399 2.7367 9.6956
1.9399 -2.7367 9.6956
1.9399 2.7367 -9.6956
Tb Er S
1 4 5
Direct
0.0000 0.0000 0.0000 Tb
0.2007 0.2007 0.0000 Er
0.4003 0.4003 0.0000 Er
0.5997 0.5997 0.0000 Er
0.7993 0.7993 0.0000 Er
0.1021 0.6021 0.5000 S
0.3004 0.8004 0.5000 S
0.5000 0.0000 0.5000 S
0.6996 0.1996 0.5000 S
0.8979 0.3979 0.5000 S
```

Largest 8 diffraction maxima, low angle first, 2θ = 10–90°:
two_theta  I_rel
28.2  840
32.7  1000
46.9  719
55.6  272
55.7  135
58.3  249
77.9  214
87.1  167

---

Record 3
The following is a calculated powder diffraction line list of Tb3Er5S8. It was derived from a crystal structure in Alexandria, relaxed with PBE, using Cu Kα (weighted mean of Kα1 and Kα2).
Kinematic intensities with the Lorentz-polarization factor, no thermal factor.

Atomic structure:
```
Tb3Er5S8
1.0
3.8869 2.2441 6.3541
-3.8869 2.2441 6.3541
0.0000 -4.4882 6.3541
Tb Er S
3 5 8
Direct
0.0000 0.5000 0.5000 Tb
0.5000 0.0000 0.5000 Tb
0.5000 0.5000 0.0000 Tb
0.0000 0.0000 0.0000 Er
0.0000 0.0000 0.5000 Er
0.0000 0.5000 0.0000 Er
0.5000 0.0000 0.0000 Er
0.5000 0.5000 0.5000 Er
0.2457 0.7500 0.7500 S
0.2478 0.2478 0.2478 S
0.2500 0.2500 0.7543 S
0.2500 0.7543 0.2500 S
0.7500 0.2457 0.7500 S
0.7500 0.7500 0.2457 S
0.7522 0.7522 0.7522 S
0.7543 0.2500 0.2500 S
```

Largest 8 diffraction maxima, low angle first, 2θ = 10–90°:
two_theta  I_rel
28.1  834
32.6  1000
46.7  720
55.4  406
58.1  249
75.3  165
77.7  321
86.7  187

---

Record 4
The following is a calculated powder diffraction line list of Tb4ErS5. It was derived from a crystal structure in Alexandria, relaxed with PBE, using Cu Kα (weighted mean of Kα1 and Kα2).
Kinematic intensities with the Lorentz-polarization factor, no thermal factor.

Atomic structure:
```
Tb4ErS5
1.0
-1.9585 2.7642 9.7920
1.9585 -2.7642 9.7920
1.9585 2.7642 -9.7920
Tb Er S
4 1 5
Direct
0.1002 0.1002 0.0000 Tb
0.3007 0.3007 0.0000 Tb
0.6993 0.6993 0.0000 Tb
0.8998 0.8998 0.0000 Tb
0.5000 0.5000 0.0000 Er
0.0000 0.5000 0.5000 S
0.2004 0.7004 0.5000 S
0.4021 0.9021 0.5000 S
0.5979 0.0979 0.5000 S
0.7996 0.2996 0.5000 S
```

Largest 8 diffraction maxima, low angle first, 2θ = 10–90°:
two_theta  I_rel
27.9  817
32.3  1000
46.4  720
55.0  399
57.7  249
74.8  161
77.0  214
86.0  165

---

Record 5
The following is a calculated powder diffraction line list of Tb2Er3ThS6. It was derived from a crystal structure in Alexandria, relaxed with PBE, using Cu Kα (weighted mean of Kα1 and Kα2).
Kinematic intensities with the Lorentz-polarization factor, no thermal factor.

Atomic structure:
```
Tb2Er3ThS6
1.0
8.5540 -1.9528 0.0000
8.5540 1.9528 0.0000
-1.8773 0.0000 7.6384
Tb Er Th S
2 3 1 6
Direct
0.1644 0.1644 0.3292 Tb
0.8356 0.8356 0.6708 Tb
0.1643 0.1643 0.8339 Er
0.5000 0.5000 0.5000 Er
0.8357 0.8357 0.1661 Er
0.5000 0.5000 0.0000 Th
0.0013 0.0013 0.7372 S
0.3277 0.3277 0.9183 S
0.3333 0.3333 0.4133 S
0.6667 0.6667 0.5867 S
0.6723 0.6723 0.0817 S
0.9987 0.9987 0.2628 S
```

Largest 8 diffraction maxima, low angle first, 2θ = 10–90°:
two_theta  I_rel
27.7  223
28.0  653
32.3  1000
46.2  364
46.5  358
55.0  215
57.8  187
77.2  160

---

Record 6
The following is a calculated powder diffraction line list of TbEr4TlS8. It was derived from a crystal structure in Alexandria, relaxed with PBE, using Cu Kα (weighted mean of Kα1 and Kα2).
Kinematic intensities with the Lorentz-polarization factor, no thermal factor.

Atomic structure:
```
TbEr4TlS8
1.0
4.0691 2.3493 6.7131
-4.0691 2.3493 6.7131
0.0000 -4.6986 6.7131
Tb Er Tl S
1 4 1 8
Direct
0.0000 0.0000 0.0000 Tb
0.9997 0.9997 0.4834 Er
0.9997 0.4834 0.9997 Er
0.4834 0.9997 0.9997 Er
0.6211 0.6211 0.6211 Er
0.3690 0.3690 0.3690 Tl
0.2243 0.7516 0.7516 S
0.2281 0.2281 0.2281 S
0.2313 0.2313 0.7948 S
0.2313 0.7948 0.2313 S
0.7516 0.2243 0.7516 S
0.7516 0.7516 0.2243 S
0.7531 0.7531 0.7531 S
0.7948 0.2313 0.2313 S
```

Largest 8 diffraction maxima, low angle first, 2θ = 10–90°:
two_theta  I_rel
21.7  218
21.8  197
25.5  320
25.6  1000
31.0  183
40.6  444
44.2  359
44.5  355

---

Record 7
The following is a calculated powder diffraction line list of Er3TeS2. It was derived from a crystal structure in Alexandria, relaxed with PBE, using Cu Kα (weighted mean of Kα1 and Kα2).
Kinematic intensities with the Lorentz-polarization factor, no thermal factor.

Atomic structure:
```
Er3TeS2
1.0
2.0121 -6.8632 0.0000
2.0121 6.8632 0.0000
0.0000 0.0000 10.7031
Er Te S
6 2 4
Direct
0.0695 0.9305 0.7500 Er
0.3549 0.6451 0.5411 Er
0.3549 0.6451 0.9589 Er
0.6451 0.3549 0.0411 Er
0.6451 0.3549 0.4589 Er
0.9305 0.0695 0.2500 Er
0.2623 0.7377 0.2500 Te
0.7377 0.2623 0.7500 Te
0.0000 0.0000 0.0000 S
0.0000 0.0000 0.5000 S
0.4490 0.5510 0.7500 S
0.5510 0.4490 0.2500 S
```

Largest 8 diffraction maxima, low angle first, 2θ = 10–90°:
two_theta  I_rel
28.2  653
28.5  646
29.6  719
30.7  1000
31.0  421
33.5  472
34.1  393
43.0  420

---

Record 8
The following is a calculated powder diffraction line list of Er4TeS3. It was derived from a crystal structure in Alexandria, relaxed with PBE, using Cu Kα (weighted mean of Kα1 and Kα2).
Kinematic intensities with the Lorentz-polarization factor, no thermal factor.

Atomic structure:
```
Er4TeS3
1.0
3.9327 0.0000 0.0000
-1.9664 3.4059 0.0000
0.0000 0.0000 26.5450
Er Te S
8 2 6
Direct
0.0000 0.0000 0.1719 Er
0.0000 0.0000 0.3281 Er
0.0000 0.0000 0.6719 Er
0.0000 0.0000 0.8281 Er
0.3333 0.6667 0.0616 Er
0.3333 0.6667 0.4384 Er
0.6667 0.3333 0.5616 Er
0.6667 0.3333 0.9384 Er
0.3333 0.6667 0.2500 Te
0.6667 0.3333 0.7500 Te
0.0000 0.0000 0.0000 S
0.0000 0.0000 0.5000 S
0.3333 0.6667 0.6166 S
0.3333 0.6667 0.8834 S
0.6667 0.3333 0.1166 S
0.6667 0.3333 0.3834 S
```

Largest 8 diffraction maxima, low angle first, 2θ = 10–90°:
two_theta  I_rel
26.4  189
27.0  251
31.2  653
33.2  1000
46.1  763
58.0  201
77.2  209
85.5  171

---

Record 9
The following is a calculated powder diffraction line list of Er5TeS4. It was derived from a crystal structure in Alexandria, relaxed with PBE, using Cu Kα (weighted mean of Kα1 and Kα2).
Kinematic intensities with the Lorentz-polarization factor, no thermal factor.

Atomic structure:
```
Er5TeS4
1.0
6.6111 -1.9652 0.0000
6.6111 1.9652 0.0000
-4.8368 0.0000 8.4408
Er Te S
5 1 4
Direct
0.0000 0.0000 0.0000 Er
0.2122 0.2122 0.8209 Er
0.3838 0.3838 0.6138 Er
0.6162 0.6162 0.3862 Er
0.7878 0.7878 0.1791 Er
0.0000 0.0000 0.5000 Te
0.2059 0.2059 0.2914 S
0.4079 0.4079 0.1078 S
0.5921 0.5921 0.8922 S
0.7941 0.7941 0.7086 S
```

Largest 8 diffraction maxima, low angle first, 2θ = 10–90°:
two_theta  I_rel
27.5  243
27.7  271
32.0  1000
45.8  228
45.9  227
46.2  127
57.3  126
66.9  102

---

Record 10
The following is a calculated powder diffraction line list of Y2ErTe2S2. It was derived from a crystal structure in Alexandria, relaxed with PBE, using Cu Kα (weighted mean of Kα1 and Kα2).
Kinematic intensities with the Lorentz-polarization factor, no thermal factor.

Atomic structure:
```
Y2ErTe2S2
1.0
5.0167 0.0000 0.0000
0.0000 5.0167 0.0000
0.0000 0.0000 15.6335
Y Er Te S
4 2 4 4
Direct
0.0000 0.0000 0.1125 Y
0.0000 0.0000 0.8875 Y
0.5000 0.5000 0.3875 Y
0.5000 0.5000 0.6125 Y
0.0000 0.0000 0.5000 Er
0.5000 0.5000 0.0000 Er
0.0000 0.0000 0.3111 Te
0.0000 0.0000 0.6889 Te
0.5000 0.5000 0.1889 Te
0.5000 0.5000 0.8111 Te
0.0000 0.5000 0.0000 S
0.0000 0.5000 0.5000 S
0.5000 0.0000 0.0000 S
0.5000 0.0000 0.5000 S
```

Largest 8 diffraction maxima, low angle first, 2θ = 10–90°:
two_theta  I_rel
18.6  189
25.1  934
33.8  1000
35.8  581
50.0  652
51.5  201
58.1  184
74.7  195

---

Record 11
The following is a calculated powder diffraction line list of Er2Th2S7. It was derived from a crystal structure in Alexandria, relaxed with PBE, using Cu Kα (weighted mean of Kα1 and Kα2).
Kinematic intensities with the Lorentz-polarization factor, no thermal factor.

Atomic structure:
```
Er2Th2S7
1.0
4.6629 0.0000 0.0000
0.0000 4.6629 0.0000
0.0000 0.0000 13.0667
Er Th S
2 2 7
Direct
0.0000 0.5000 0.1373 Er
0.5000 0.0000 0.8627 Er
0.0000 0.5000 0.6289 Th
0.5000 0.0000 0.3711 Th
0.0000 0.0000 0.2290 S
0.0000 0.0000 0.5000 S
0.0000 0.0000 0.7710 S
0.5000 0.5000 0.0000 S
0.5000 0.5000 0.2519 S
0.5000 0.5000 0.5000 S
0.5000 0.5000 0.7481 S
```

Largest 8 diffraction maxima, low angle first, 2θ = 10–90°:
two_theta  I_rel
23.4  1000
27.0  168
38.6  234
38.8  438
45.7  349
46.0  156
61.6  132
70.0  153

---

Record 12
The following is a calculated powder diffraction line list of Er3TiTl4S8. It was derived from a crystal structure in Alexandria, relaxed with PBE, using Cu Kα (weighted mean of Kα1 and Kα2).
Kinematic intensities with the Lorentz-polarization factor, no thermal factor.

Atomic structure:
```
Er3TiTl4S8
1.0
3.9051 2.2546 7.5287
-3.9051 2.2546 7.5287
0.0000 -4.5092 7.5287
Er Ti Tl S
3 1 4 8
Direct
0.0000 0.5000 0.5000 Er
0.5000 0.0000 0.5000 Er
0.5000 0.5000 0.0000 Er
0.0000 0.0000 0.0000 Ti
0.0000 0.0000 0.5000 Tl
0.0000 0.5000 0.0000 Tl
0.5000 0.0000 0.0000 Tl
0.5000 0.5000 0.5000 Tl
0.2217 0.2217 0.7480 S
0.2217 0.7480 0.2217 S
0.2520 0.7783 0.7783 S
0.2671 0.2671 0.2671 S
0.7329 0.7329 0.7329 S
0.7480 0.2217 0.2217 S
0.7783 0.2520 0.7783 S
0.7783 0.7783 0.2520 S
```

Largest 8 diffraction maxima, low angle first, 2θ = 10–90°:
two_theta  I_rel
23.6  341
27.5  617
30.8  1000
41.7  393
46.5  326
48.5  181
52.8  245
69.4  213